No. 1
Nb14AlIr: simulated powder X-ray diffraction pattern (a wavelength of 1.5418 Å), based on DFT lattice parameters and positions (PBE).

Main lines, by intensity (2θ from 10° to 80°):
Position (°2θ)  d_spacing  Rel. int.
38.52  2.337  100
39.03  2.308  48
70.37  1.338  32
69.35  1.355  17
56.39  1.632  16
54.84  1.674  9
18.99  4.674  6
16.35  5.421  5
33.49  2.676  3
25.35  3.513  3

Lattice parameters (Å, degrees): 5.704 5.704 9.224 90.00 90.00 108.12
Element x y z (fractional)
Nb: 0.000 0.000 0.000
Nb: 0.000 0.500 0.000
Nb: 0.000 0.500 0.500
Nb: 0.245 0.755 0.257
Nb: 0.245 0.755 0.743
Nb: 0.258 0.258 0.254
Nb: 0.258 0.258 0.746
Nb: 0.500 0.000 0.000
Nb: 0.500 0.000 0.500
Nb: 0.500 0.500 0.000
Nb: 0.742 0.742 0.254
Nb: 0.742 0.742 0.746
Nb: 0.755 0.245 0.257
Nb: 0.755 0.245 0.743
Al: 0.000 0.000 0.500
Ir: 0.500 0.500 0.500

=====

No. 2
YCdPd: simulated powder X-ray diffraction pattern (a wavelength of 1.5418 Å), based on DFT lattice parameters and positions (PBE).

Main lines, by intensity (2θ from 10° to 80°):
Position (°2θ)  d_spacing  Rel. int.
32.86  2.725  100
35.47  2.531  75
35.60  2.522  69
40.27  2.239  45
47.25  1.924  43
32.75  2.734  34
65.43  1.426  30
40.55  2.225  30
42.60  2.122  29
33.45  2.679  24

Lattice parameters (Å, degrees): 13.347 3.847 7.775 90.00 90.00 90.00
Element x y z (fractional)
Y: 0.047 0.000 0.231
Y: 0.250 0.000 0.828
Y: 0.453 0.000 0.231
Y: 0.547 0.000 0.769
Y: 0.750 0.000 0.172
Y: 0.953 0.000 0.769
Cd: 0.110 0.500 0.564
Cd: 0.250 0.500 0.188
Cd: 0.390 0.500 0.564
Cd: 0.610 0.500 0.436
Cd: 0.750 0.500 0.812
Cd: 0.890 0.500 0.436
Pd: 0.097 0.500 0.936
Pd: 0.250 0.000 0.446
Pd: 0.403 0.500 0.936
Pd: 0.597 0.500 0.064
Pd: 0.750 0.000 0.554
Pd: 0.903 0.500 0.064

=====

No. 3
Rb7NbTe6: simulated powder X-ray diffraction pattern (a wavelength of 1.5418 Å), based on DFT lattice parameters and positions (PBE).

Main lines, by intensity (2θ from 10° to 80°):
Position (°2θ)  d_spacing  Rel. int.
14.15  6.261  100
24.19  3.680  70
28.55  3.126  61
30.23  2.956  56
21.23  4.185  55
19.83  4.476  50
30.36  2.944  42
35.30  2.543  39
26.30  3.389  31
23.61  3.768  27

Lattice parameters (Å, degrees): 13.563 13.563 13.563 139.28 105.96 88.11
Element x y z (fractional)
Rb: 0.039 0.220 0.259
Rb: 0.100 0.524 0.857
Rb: 0.167 0.024 0.424
Rb: 0.250 0.250 0.000
Rb: 0.333 0.757 0.857
Rb: 0.400 0.257 0.424
Rb: 0.461 0.720 0.181
Rb: 0.539 0.280 0.819
Rb: 0.600 0.743 0.576
Rb: 0.667 0.243 0.143
Rb: 0.750 0.750 0.000
Rb: 0.833 0.976 0.576
Rb: 0.900 0.476 0.143
Rb: 0.961 0.780 0.741
Nb: 0.250 0.750 0.500
Nb: 0.750 0.250 0.500
Te: 0.083 0.845 0.575
Te: 0.167 0.917 0.083
Te: 0.229 0.655 0.238
Te: 0.271 0.508 0.425
Te: 0.333 0.417 0.750
Te: 0.417 0.992 0.762
Te: 0.583 0.008 0.238
Te: 0.667 0.583 0.250
Te: 0.729 0.492 0.575
Te: 0.771 0.345 0.762
Te: 0.833 0.083 0.917
Te: 0.917 0.155 0.425

=====

No. 4
LaNd5: simulated powder X-ray diffraction pattern (a wavelength of 1.5418 Å), based on DFT lattice parameters and positions (PBE).

Main lines, by intensity (2θ from 10° to 80°):
Position (°2θ)  d_spacing  Rel. int.
29.60  3.018  100
34.31  2.614  51
49.29  1.849  30
58.53  1.577  29
58.66  1.574  14
79.94  1.200  9
61.38  1.510  6
61.51  1.507  6
49.43  1.844  6
72.38  1.306  4

Lattice parameters (Å, degrees): 11.692 5.236 7.376 90.00 108.39 90.00
Element x y z (fractional)
La: 0.000 0.000 0.000
La: 0.500 0.500 0.000
Nd: 0.000 0.000 0.500
Nd: 0.166 0.500 0.832
Nd: 0.168 0.500 0.334
Nd: 0.332 0.000 0.666
Nd: 0.334 0.000 0.168
Nd: 0.500 0.500 0.500
Nd: 0.666 0.000 0.832
Nd: 0.668 0.000 0.334
Nd: 0.832 0.500 0.666
Nd: 0.834 0.500 0.168

=====

No. 5
Ac2Sm4Y7: simulated powder X-ray diffraction pattern (a wavelength of 1.5418 Å), based on DFT lattice parameters and positions (PBE).

Main lines, by intensity (2θ from 10° to 80°):
Position (°2θ)  d_spacing  Rel. int.
31.55  2.836  100
28.60  3.122  35
50.65  1.802  26
31.12  2.873  24
34.92  2.569  22
29.36  3.042  19
26.27  3.392  18
60.91  1.521  15
13.05  6.785  15
17.66  5.023  14

Lattice parameters (Å, degrees): 6.243 6.243 13.569 90.00 90.00 120.00
Element x y z (fractional)
Ac: 0.333 0.667 0.000
Ac: 0.667 0.333 0.000
Sm: 0.000 0.000 0.395
Sm: 0.000 0.000 0.605
Sm: 0.333 0.667 0.500
Sm: 0.667 0.333 0.500
Y: 0.000 0.000 0.000
Y: 0.000 0.353 0.781
Y: 0.000 0.647 0.219
Y: 0.353 0.000 0.781
Y: 0.353 0.353 0.219
Y: 0.647 0.000 0.219
Y: 0.647 0.647 0.781

=====

No. 6
VPb3Br8: simulated powder X-ray diffraction pattern (a wavelength of 1.5418 Å), based on DFT lattice parameters and positions (PBE).

Main lines, by intensity (2θ from 10° to 80°):
Position (°2θ)  d_spacing  Rel. int.
29.49  3.029  100
12.89  6.866  75
24.15  3.686  41
41.77  2.163  36
42.64  2.120  23
38.92  2.314  19
51.95  1.760  18
32.30  2.772  14
43.91  2.062  14
42.54  2.125  12

Lattice parameters (Å, degrees): 8.484 8.484 8.504 118.77 118.77 61.30
Element x y z (fractional)
V: 0.000 0.000 0.000
Pb: 0.000 0.500 0.500
Pb: 0.500 0.000 0.500
Pb: 0.500 0.500 0.000
Br: 0.217 0.778 0.221
Br: 0.222 0.222 0.219
Br: 0.222 0.783 0.779
Br: 0.249 0.249 0.750
Br: 0.751 0.751 0.250
Br: 0.778 0.217 0.221
Br: 0.778 0.778 0.781
Br: 0.783 0.222 0.779

=====

No. 7
NdTcP2Ir: simulated powder X-ray diffraction pattern (a wavelength of 1.5418 Å), based on DFT lattice parameters and positions (PBE).

Main lines, by intensity (2θ from 10° to 80°):
Position (°2θ)  d_spacing  Rel. int.
35.66  2.517  100
44.11  2.053  37
75.59  1.258  31
23.38  3.804  28
34.44  2.604  27
63.91  1.457  20
35.54  2.526  19
57.88  1.593  19
17.56  5.052  18
47.76  1.904  15

Lattice parameters (Å, degrees): 4.106 4.106 10.104 90.00 90.00 90.00
Element x y z (fractional)
Nd: 0.000 0.000 0.000
Nd: 0.500 0.500 0.500
Tc: 0.000 0.500 0.250
Tc: 0.500 0.000 0.750
P: 0.000 0.000 0.369
P: 0.000 0.000 0.631
P: 0.500 0.500 0.131
P: 0.500 0.500 0.869
Ir: 0.000 0.500 0.750
Ir: 0.500 0.000 0.250

=====

No. 8
Tb2Nd3Th: simulated powder X-ray diffraction pattern (a wavelength of 1.5418 Å), based on DFT lattice parameters and positions (PBE).

Main lines, by intensity (2θ from 10° to 80°):
Position (°2θ)  d_spacing  Rel. int.
30.17  2.962  100
34.98  2.565  51
59.79  1.547  43
50.30  1.814  36
62.74  1.481  12
73.87  1.283  4
10.36  8.541  3
73.94  1.282  2
17.27  5.135  1
24.55  3.626  1

Lattice parameters (Å, degrees): 9.596 9.596 9.596 149.00 115.30 73.47
Element x y z (fractional)
Tb: 0.084 0.334 0.750
Tb: 0.253 0.003 0.250
Tb: 0.747 0.997 0.750
Tb: 0.916 0.666 0.250
Nd: 0.000 0.500 0.500
Nd: 0.172 0.168 0.005
Nd: 0.337 0.832 0.505
Nd: 0.500 0.500 0.000
Nd: 0.663 0.168 0.495
Nd: 0.828 0.832 0.995
Th: 0.419 0.669 0.750
Th: 0.581 0.331 0.250

=====

No. 9
PmEr3Al8: simulated powder X-ray diffraction pattern (a wavelength of 1.5418 Å), based on DFT lattice parameters and positions (PBE).

Main lines, by intensity (2θ from 10° to 80°):
Position (°2θ)  d_spacing  Rel. int.
37.96  2.370  100
19.54  4.542  88
32.12  2.787  69
32.24  2.776  68
57.44  1.604  40
37.84  2.378  35
61.26  1.513  33
67.18  1.393  15
67.47  1.388  14
57.18  1.611  13

Lattice parameters (Å, degrees): 9.666 9.666 9.666 33.38 33.38 33.38
Element x y z (fractional)
Pm: 0.000 0.000 0.000
Er: 0.125 0.125 0.125
Er: 0.501 0.501 0.501
Er: 0.624 0.624 0.624
Al: 0.062 0.062 0.561
Al: 0.062 0.561 0.062
Al: 0.064 0.563 0.563
Al: 0.312 0.312 0.312
Al: 0.561 0.062 0.062
Al: 0.563 0.064 0.563
Al: 0.563 0.563 0.064
Al: 0.813 0.813 0.813

=====

No. 10
SiAg2Te3: simulated powder X-ray diffraction pattern (a wavelength of 1.5418 Å), based on DFT lattice parameters and positions (PBE).

Main lines, by intensity (2θ from 10° to 80°):
Position (°2θ)  d_spacing  Rel. int.
44.12  2.053  100
23.13  3.845  77
40.45  2.230  68
24.47  3.638  66
26.21  3.400  65
22.97  3.871  43
47.84  1.901  39
40.73  2.215  34
26.07  3.418  30
33.92  2.643  25

Lattice parameters (Å, degrees): 7.691 7.691 7.277 90.00 90.00 60.44
Element x y z (fractional)
Si: 0.161 0.839 0.500
Si: 0.839 0.161 0.000
Ag: 0.178 0.501 0.028
Ag: 0.499 0.822 0.028
Ag: 0.501 0.178 0.528
Ag: 0.822 0.499 0.528
Te: 0.151 0.849 0.867
Te: 0.158 0.525 0.410
Te: 0.475 0.842 0.410
Te: 0.525 0.158 0.910
Te: 0.842 0.475 0.910
Te: 0.849 0.151 0.367

=====

No. 11
GaH2I3: simulated powder X-ray diffraction pattern (a wavelength of 1.5418 Å), based on DFT lattice parameters and positions (PBE).

Main lines, by intensity (2θ from 10° to 80°):
Position (°2θ)  d_spacing  Rel. int.
29.08  3.070  100
21.56  4.123  91
23.12  3.847  64
22.04  4.032  61
41.60  2.171  57
13.61  6.506  40
23.61  3.768  36
26.87  3.318  35
36.16  2.484  34
27.42  3.253  33

Lattice parameters (Å, degrees): 8.320 8.320 7.990 109.44 109.44 102.89
Element x y z (fractional)
Ga: 0.084 0.916 0.750
Ga: 0.916 0.084 0.250
H: 0.327 0.367 0.645
H: 0.367 0.327 0.145
H: 0.633 0.673 0.855
H: 0.673 0.633 0.355
I: 0.119 0.293 0.037
I: 0.293 0.119 0.537
I: 0.367 0.633 0.750
I: 0.633 0.367 0.250
I: 0.707 0.881 0.463
I: 0.881 0.707 0.963

=====

No. 12
Mg2Cd5Rh2: simulated powder X-ray diffraction pattern (a wavelength of 1.5418 Å), based on DFT lattice parameters and positions (PBE).

Main lines, by intensity (2θ from 10° to 80°):
Position (°2θ)  d_spacing  Rel. int.
39.61  2.275  100
37.28  2.412  83
39.26  2.295  79
10.40  8.505  75
42.60  2.122  69
43.42  2.084  58
34.81  2.577  55
12.88  6.875  41
28.91  3.088  36
18.56  4.781  32

Lattice parameters (Å, degrees): 3.060 7.114 8.800 75.13 89.05 89.23
Element x y z (fractional)
Mg: 0.002 0.011 0.323
Mg: 0.998 0.989 0.677
Cd: 0.000 0.000 0.000
Cd: 0.012 0.425 0.840
Cd: 0.485 0.319 0.444
Cd: 0.515 0.681 0.556
Cd: 0.988 0.575 0.160
Rh: 0.499 0.261 0.118
Rh: 0.501 0.739 0.882